The following is a theoretical powder XRD pattern of Ho5Er2Sc4. It was derived from the GGA-PBE geometry in Alexandria, using Cu Kα.
Lines closer than 0.1° are merged.

Structural model:
Lattice parameters (Å, degrees): 8.660 3.485 10.699 90.00 94.63 90.00
Space group P2/m (No. 10)
Unique sites:
Ho  0.000  0.000  0.000 [1 per cell]
Ho  0.048  0.000  0.334 [2 per cell]
Ho  0.353  0.000  0.867 [2 per cell]
Er  0.425  0.000  0.364 [2 per cell]
Sc  0.253  0.500  0.574 [2 per cell]
Sc  0.298  0.500  0.130 [2 per cell]

Principal peaks in the range 5° ≤ 2θ ≤ 70°, in order of falling intensity:
d 3.486, 2θ 25.55, rel. 100.0
d 2.727, 2θ 32.84, rel. 53.0
d 2.712, 2θ 33.03, rel. 49.7
d 2.802, 2θ 31.94, rel. 37.3
d 2.859, 2θ 31.28, rel. 32.9
d 2.489, 2θ 36.09, rel. 30.2
d 2.836, 2θ 31.54, rel. 29.9
d 2.877, 2θ 31.08, rel. 28.5
d 2.666, 2θ 33.62, rel. 27.6
d 4.381, 2θ 20.27, rel. 26.7
d 2.451, 2θ 36.67, rel. 26.2
d 2.607, 2θ 34.40, rel. 26.1